Entry 1:
For Mg14CdNi, a cell relaxed with GGA-PBE gives the theoretical X-ray powder pattern in this record (Cu Ka).
No peak broadening, texture or thermal motion is included.

Peak list (10 most intense, 10 to 90 degrees two-theta, in order of falling intensity)
two_theta	I/Imax
37.72	100
16.27	33
32.88	28
36.40	24
24.33	21
71.08	18
66.38	17
58.71	17
49.86	17
71.92	13

Crystal structure
```
Mg14CdNi
1.0
6.290 0.000 0.000
-3.145 5.448 0.000
0.000 0.000 9.872
Mg Cd Ni
14 1 1
Cartesian
0.000 0.000 2.451 Mg
0.000 0.000 7.421 Mg
-1.516 2.757 2.552 Mg
-1.516 2.757 7.320 Mg
1.556 0.898 4.936 Mg
1.574 0.909 0.000 Mg
1.516 2.757 2.552 Mg
1.516 2.757 7.320 Mg
0.000 5.382 2.552 Mg
0.000 5.382 7.320 Mg
4.717 0.909 0.000 Mg
3.145 3.630 0.000 Mg
4.735 0.898 4.936 Mg
3.145 3.651 4.936 Mg
0.000 3.632 0.000 Cd
0.000 3.632 4.936 Ni
```



Entry 2:
For Ti5CoSb2, a cell relaxed with GGA-PBE gives the theoretical X-ray powder pattern in this record (Cu Ka).
No peak broadening, texture or thermal motion is included.

Peak list (10 most intense, 10 to 90 degrees two-theta, in order of falling intensity)
two_theta	I/Imax
39.63	100
25.92	48
35.59	27
75.34	23
50.14	20
38.32	20
36.28	19
51.74	16
66.64	15
52.25	8

Crystal structure
```
Ti5CoSb2
1.0
-5.252 5.252 2.522
5.252 -5.252 2.522
5.252 5.252 -2.522
Ti Co Sb
10 2 4
Cartesian
8.399 0.740 0.000 Ti
0.740 2.106 0.000 Ti
5.252 0.000 1.261 Ti
5.992 3.147 0.000 Ti
3.147 4.513 0.000 Ti
2.106 0.740 2.522 Ti
-0.740 2.106 2.522 Ti
0.000 5.252 1.261 Ti
4.513 3.147 2.522 Ti
-3.147 4.513 2.522 Ti
0.000 0.000 1.261 Co
0.000 0.000 3.784 Co
3.523 1.729 0.000 Sb
3.523 -1.729 2.522 Sb
1.729 6.981 0.000 Sb
1.729 3.523 2.522 Sb
```



Entry 3:
For PrHo, a cell relaxed with GGA-PBE gives the theoretical X-ray powder pattern in this record (Cu Ka).
No peak broadening, texture or thermal motion is included.

Peak list (10 most intense, 10 to 90 degrees two-theta, in order of falling intensity)
two_theta	I/Imax
32.14	100
30.17	26
28.28	24
59.57	23
54.84	22
50.06	19
41.82	16
60.74	16
82.49	14
84.25	9

Crystal structure
```
PrHo
1.0
3.644 0.000 0.000
-1.822 3.156 0.000
0.000 0.000 5.925
Pr Ho
1 1
Cartesian
0.000 0.000 0.000 Pr
0.000 2.104 2.963 Ho
```



Q: Which formula does entry 1 have?
A: Mg14CdNi